(1)
For RbPm2Re2N6, a DFT-relaxed cell (PBE, Alexandria) gives the calculated X-ray diffraction stick pattern in this record (Cu Kα (weighted mean of Kα1 and Kα2)).
Intensities are scaled so that the largest is 100.

Top 12 peaks for 2θ from 10° to 90°, in order of rising 2θ:
d_spacing	two_theta	intensity	index
5.617	15.78	56	0 1 0
5.488	16.15	97	1 0 0
3.470	25.68	47	1 1 2
3.400	26.21	100	1 -1 0
3.357	26.55	31	1 2 1
3.087	28.92	36	0 0 2
2.973	30.05	41	1 2 2
2.927	30.54	54	1 2 0
2.871	31.15	47	2 1 0
2.679	33.45	31	2 1 2
2.501	35.91	30	1 0 -2
1.677	54.73	26	1 -1 3

Lattice parameters (Å, degrees): 6.2230 6.7582 7.1271 61.80 69.25 63.79
Space group P-1 (No. 2)
Unique sites:
1 Rb 0.0000 0.0000 0.0000 x1
2 Pm 0.3540 0.2921 0.2709 x2
3 Re 0.3808 0.3871 0.6849 x2
4 N 0.0735 0.5799 0.6924 x2
5 N 0.4201 0.1140 0.6604 x2
6 N 0.4815 0.6475 0.1089 x2

(2)
For RbDy2B2S6, a DFT-relaxed cell (PBE, Alexandria) gives the calculated X-ray diffraction stick pattern in this record (Cu Kα (weighted mean of Kα1 and Kα2)).
Intensities are scaled so that the largest is 100.

Top 12 peaks for 2θ from 10° to 90°, in order of rising 2θ:
d_spacing	two_theta	intensity	index
5.942	14.91	100	0 1 -1
3.855	23.07	41	-1 1 1
3.516	25.33	22	2 0 -1
3.300	27.02	54	1 0 1
3.169	28.16	46	1 -2 0
3.025	29.53	40	2 1 -2
2.404	37.42	25	1 1 -3
2.303	39.11	33	1 3 -2
2.268	39.75	21	2 2 -3
1.956	46.42	15	-3 2 1
1.858	49.04	14	2 1 1
1.729	52.97	16	3 1 -4

Lattice parameters (Å, degrees): 7.0311 7.3304 7.3782 116.26 118.42 90.04
Space group P-1 (No. 2)
Unique sites:
1 Rb 0.0000 0.0000 0.0000 x1
2 Dy 0.3295 0.6707 0.6590 x2
3 B 0.3508 0.2611 0.7024 x2
4 S 0.1012 0.3571 0.6447 x2
5 S 0.4281 0.1095 0.8574 x2
6 S 0.4578 0.6434 0.3562 x2

(3)
For Na2Pu3S6, a DFT-relaxed cell (PBE, Alexandria) gives the calculated X-ray diffraction stick pattern in this record (Cu Kα (weighted mean of Kα1 and Kα2)).
Intensities are scaled so that the largest is 100.

Top 12 peaks for 2θ from 10° to 90°, in order of rising 2θ:
d_spacing	two_theta	intensity	index
6.627	13.36	100	0 0 1
3.434	25.95	55	2 0 -1
3.314	26.91	13	0 0 2
3.290	27.11	36	2 0 0
2.854	31.34	76	1 3 1
2.621	34.21	23	1 3 -2
2.202	40.99	23	1 3 2
2.024	44.79	27	2 0 2
2.013	45.04	28	0 6 0
1.926	47.19	27	3 3 0
1.720	53.25	13	3 3 1
1.645	55.90	15	4 0 0

Lattice parameters (Å, degrees): 6.9735 12.0740 7.0198 90.00 109.25 90.00
Space group C2/m (No. 12)
Unique sites:
1 Na 0.0000 0.1673 0.0000 x4
2 Pu 0.0000 0.0000 0.5000 x2
3 Pu 0.0000 0.3347 0.5000 x4
4 S 0.2366 0.1687 0.7165 x8
5 S 0.2432 0.5000 0.7180 x4